This entry pairs a crystal structure of HfInCu3Se4 with its calculated XRD peak list. Radiation: Cu Kα (weighted mean of Kα1 and Kα2). Structure: a cell relaxed with PBE.
Neutral-atom scattering factors, no anomalous dispersion.

a = 6.1785 Å, b = 6.1785 Å, c = 6.1785 Å
α = 90.00°, β = 90.00°, γ = 90.00°
Sites, in units of the cell vectors:
Hf: 0.0000 0.0000 0.0000
In: 0.5000 0.5000 0.5000
Cu: 0.0000 0.0000 0.5000
Cu: 0.0000 0.5000 0.0000
Cu: 0.5000 0.0000 0.0000
Se: 0.2321 0.2321 0.7679
Se: 0.2321 0.7679 0.2321
Se: 0.7679 0.2321 0.2321
Se: 0.7679 0.7679 0.7679

Peak list (6 most intense, 2θ from 10° to 90°, sorted by position)
2theta	d [Å]	I (rel.)	index
14.3	6.178	286	1 0 0
20.3	4.369	498	1 1 0
25.0	3.567	485	1 1 1
35.6	2.522	250	2 1 1
41.3	2.184	1000	2 2 0
75.4	1.261	301	4 2 2